Record 1
Starting from a structure optimized by DFT (PBE+U), the powder diffraction line list of Eu2Cr2O5 was calculated for Cu Ka.
Peak positions follow from Bragg's law for the DFT cell and can differ from measured ones.

Structural model:
```
18
Lattice="-7.867 2.820 2.753 7.867 -2.820 2.753 7.867 2.820 -2.753" Properties=species:S:1:pos:R:3 pbc="T T T"
Eu 1.724 0.082 0.000
Eu 6.143 0.082 0.000
Eu 1.724 2.739 2.753
Eu 6.143 2.739 2.753
Cr 3.933 -0.278 2.926
Cr 0.000 0.000 2.734
Cr 7.867 0.000 2.734
Cr 3.933 3.099 0.173
O 11.800 0.627 -0.563
O 2.048 2.518 -0.080
O 5.819 2.518 -0.080
O -0.208 1.430 1.375
O 8.075 1.430 1.375
O 2.048 0.302 2.674
O 5.819 0.302 2.674
O -3.933 2.193 2.191
O 0.208 4.211 1.375
O -0.208 1.391 4.128
```

Peak list (12 most intense, 2θ from 15° to 90°, in order of falling intensity)
| 2theta | intensity |
| --- | --- |
| 32.2 | 100 |
| 46.1 | 42 |
| 22.6 | 42 |
| 32.5 | 36 |
| 31.7 | 34 |
| 57.8 | 20 |
| 56.8 | 19 |
| 41.4 | 15 |
| 39.3 | 13 |
| 40.0 | 13 |
| 67.3 | 12 |
| 51.9 | 10 |



Record 2
Starting from a structure optimized by DFT (PBE+U), the powder diffraction line list of EuCrO4 was calculated for Cu Ka.
Peak positions follow from Bragg's law for the DFT cell and can differ from measured ones.

Structural model:
```
12
Lattice="-3.719 3.719 3.222 3.719 -3.719 3.222 3.719 3.719 -3.222" Properties=species:S:1:pos:R:3 pbc="T T T"
Eu 3.719 1.859 0.806
Eu 0.000 1.859 2.417
Cr 3.719 -1.859 2.417
Cr 0.000 5.578 0.806
O 3.719 -0.533 1.369
O 3.719 3.186 -1.369
O 1.326 1.859 0.243
O 2.393 -1.859 3.465
O 1.326 5.578 -0.243
O 2.393 1.859 2.980
O 0.000 0.533 4.591
O 0.000 4.252 1.854
```

Peak list (12 most intense, 2θ from 15° to 90°, in order of falling intensity)
| 2theta | intensity |
| --- | --- |
| 23.9 | 100 |
| 32.6 | 70 |
| 47.9 | 57 |
| 18.2 | 28 |
| 34.1 | 23 |
| 60.1 | 16 |
| 49.0 | 15 |
| 70.9 | 14 |
| 38.9 | 14 |
| 55.2 | 13 |
| 46.2 | 13 |
| 83.6 | 11 |



Record 3
Starting from a structure optimized by DFT (PBE+U), the powder diffraction line list of CrF4 was calculated for Cu Ka.
Peak positions follow from Bragg's law for the DFT cell and can differ from measured ones.

Structural model:
```
10
Lattice="3.180 -3.885 0.000 3.180 3.885 0.000 -1.840 0.000 5.965" Properties=species:S:1:pos:R:3 pbc="T T T"
Cr 0.000 0.000 0.000
Cr 3.567 0.000 1.337
F 1.513 2.580 4.827
F 1.877 0.000 0.399
F 3.661 1.807 1.259
F 2.852 0.000 2.928
F 2.620 0.000 5.567
F 1.513 -2.580 4.827
F 3.661 -1.807 1.259
F 5.526 0.000 1.733
```

Peak list (12 most intense, 2θ from 15° to 90°, in order of falling intensity)
| 2theta | intensity |
| --- | --- |
| 22.9 | 100 |
| 18.5 | 85 |
| 26.4 | 65 |
| 46.3 | 54 |
| 27.4 | 48 |
| 29.4 | 46 |
| 28.8 | 43 |
| 31.4 | 41 |
| 45.1 | 40 |
| 20.9 | 38 |
| 46.8 | 31 |
| 56.8 | 28 |



Record 4
Starting from a structure optimized by DFT (PBE+U), the powder diffraction line list of CrF4 was calculated for Cu Ka.
Peak positions follow from Bragg's law for the DFT cell and can differ from measured ones.

Structural model:
```
20
Lattice="8.630 0.000 0.000 0.000 8.630 0.000 0.000 0.000 3.856" Properties=species:S:1:pos:R:3 pbc="T T T"
Cr 1.121 1.121 0.000
Cr 3.194 5.436 1.928
Cr 5.436 3.194 1.928
Cr 7.509 7.509 0.000
F 0.832 7.798 0.000
F 0.909 2.847 0.000
F 1.049 1.049 1.928
F 1.468 5.224 1.928
F 2.847 0.909 0.000
F 3.265 5.364 0.000
F 3.406 7.162 1.928
F 3.483 3.483 1.928
F 5.147 5.147 1.928
F 5.224 1.468 1.928
F 5.364 3.265 0.000
F 5.783 7.721 0.000
F 7.162 3.406 1.928
F 7.580 7.580 1.928
F 7.721 5.783 0.000
F 7.798 0.832 0.000
```

Peak list (12 most intense, 2θ from 15° to 90°, in order of falling intensity)
| 2theta | intensity |
| --- | --- |
| 23.0 | 100 |
| 25.3 | 67 |
| 41.9 | 49 |
| 27.4 | 31 |
| 47.1 | 22 |
| 64.9 | 21 |
| 53.1 | 17 |
| 58.6 | 15 |
| 49.6 | 15 |
| 57.5 | 13 |
| 74.6 | 12 |
| 60.7 | 10 |



Record 5
Starting from a structure optimized by DFT (PBE+U), the powder diffraction line list of CrF6 was calculated for Cu Ka.
Peak positions follow from Bragg's law for the DFT cell and can differ from measured ones.

Structural model:
```
7
Lattice="2.572 1.485 4.588 -2.572 1.485 4.588 0.000 -2.969 4.588" Properties=species:S:1:pos:R:3 pbc="T T T"
Cr 0.000 0.000 0.000
F -0.696 -1.713 5.603
F -1.831 -0.253 8.160
F -1.135 1.459 5.603
F 1.135 -1.459 8.160
F 1.831 0.253 5.603
F 0.696 1.713 8.160
```

Peak list (12 most intense, 2θ from 15° to 90°, in order of falling intensity)
| 2theta | intensity |
| --- | --- |
| 21.0 | 100 |
| 23.8 | 63 |
| 40.2 | 57 |
| 19.3 | 40 |
| 53.5 | 24 |
| 32.9 | 11 |
| 62.6 | 11 |
| 71.8 | 10 |
| 61.3 | 8 |
| 64.9 | 8 |
| 48.7 | 7 |
| 56.3 | 7 |



Record 6
Starting from a structure optimized by DFT (PBE+U), the powder diffraction line list of CrFeF5 was calculated for Cu Ka.
Peak positions follow from Bragg's law for the DFT cell and can differ from measured ones.

Structural model:
```
14
Lattice="4.375 -3.222 0.000 4.375 3.222 0.000 -3.455 0.000 6.639" Properties=species:S:1:pos:R:3 pbc="T T T"
Cr 0.000 0.000 0.000
Cr -1.728 0.000 3.319
Fe 1.784 0.058 4.979
Fe 3.511 -0.058 1.660
F 1.784 2.763 4.979
F -0.013 0.164 4.195
F 1.715 -0.164 0.875
F 4.171 1.292 0.163
F 2.851 1.292 3.156
F 2.444 -1.292 3.483
F 1.124 -1.292 6.475
F 3.581 0.164 5.764
F 5.308 -0.164 2.444
F 3.511 -2.763 1.660
```

Peak list (12 most intense, 2θ from 15° to 90°, in order of falling intensity)
| 2theta | intensity |
| --- | --- |
| 27.6 | 100 |
| 22.9 | 94 |
| 27.7 | 56 |
| 48.9 | 35 |
| 46.8 | 30 |
| 48.7 | 24 |
| 55.3 | 20 |
| 56.9 | 14 |
| 54.3 | 13 |
| 56.1 | 11 |
| 70.8 | 11 |
| 36.2 | 10 |